1.
Theoretical powder X-ray diffraction pattern of NaAc3Pb4 for CuKα, from a structure optimized by DFT (PBE).
Neutral-atom scattering factors, no anomalous dispersion.

Cell and atoms:
abc: 3.9213 7.7286 19.6781
angles: 90.00 90.00 90.00
Space group Immm (No. 71)
Unique sites:
Na 0.0000 0.0000 0.0000 (multiplicity 2)
Ac 0.0000 0.0000 0.5000 (multiplicity 2)
Ac 0.0000 0.5000 0.2825 (multiplicity 4)
Pb 0.0000 0.2844 0.1240 (multiplicity 8)

Peak list (8 most intense, 10° ≤ 2θ ≤ 80°, by angle)
27.06°, d = 3.295 Å, I = 62
29.39°, d = 3.039 Å, I = 100
32.23°, d = 2.778 Å, I = 65
32.86°, d = 2.726 Å, I = 60
35.37°, d = 2.538 Å, I = 25
37.54°, d = 2.396 Å, I = 30
53.53°, d = 1.712 Å, I = 33
55.80°, d = 1.648 Å, I = 34


2.
Theoretical powder X-ray diffraction pattern of Sm4TlPb for CuKα, from a structure optimized by DFT (PBE).
Neutral-atom scattering factors, no anomalous dispersion.

Cell and atoms:
abc: 9.2069 14.2320 6.4596
angles: 90.00 115.67 90.00
Space group C2/c (No. 15)
Unique sites:
Sm 0.1111 0.1897 0.0727 (multiplicity 8)
Sm 0.1956 0.4180 0.3194 (multiplicity 8)
Tl 0.0000 0.0015 0.7500 (multiplicity 4)
Pb 0.0000 0.3800 0.7500 (multiplicity 4)

Peak list (8 most intense, 10° ≤ 2θ ≤ 80°, by angle)
29.42°, d = 3.036 Å, I = 39
29.81°, d = 2.997 Å, I = 96
31.52°, d = 2.839 Å, I = 42
33.25°, d = 2.695 Å, I = 47
33.28°, d = 2.692 Å, I = 100
33.67°, d = 2.662 Å, I = 75
33.92°, d = 2.643 Å, I = 90
60.38°, d = 1.533 Å, I = 62


3.
Theoretical powder X-ray diffraction pattern of HoMg2Cd6 for CuKα, from a structure optimized by DFT (PBE).
Neutral-atom scattering factors, no anomalous dispersion.

Cell and atoms:
abc: 15.0820 11.3763 5.0365
angles: 90.00 90.00 90.00
Space group Cmcm (No. 63)
Unique sites:
Ho 0.0000 0.1912 0.2500 (multiplicity 4)
Mg 0.1634 0.4210 0.2500 (multiplicity 8)
Cd 0.0951 0.3287 0.7500 (multiplicity 8)
Cd 0.1036 0.0678 0.7500 (multiplicity 8)
Cd 0.2102 0.1584 0.2500 (multiplicity 8)

Peak list (8 most intense, 10° ≤ 2θ ≤ 80°, by angle)
23.59°, d = 3.771 Å, I = 22
30.09°, d = 2.970 Å, I = 10
33.62°, d = 2.666 Å, I = 14
35.60°, d = 2.522 Å, I = 100
36.27°, d = 2.476 Å, I = 52
38.12°, d = 2.361 Å, I = 29
53.18°, d = 1.722 Å, I = 21
63.99°, d = 1.455 Å, I = 11


4.
Theoretical powder X-ray diffraction pattern of NdTmSc for CuKα, from a structure optimized by DFT (PBE).
Neutral-atom scattering factors, no anomalous dispersion.

Cell and atoms:
abc: 5.5145 5.5145 3.3939
angles: 90.00 90.00 120.00
Space group P-6m2 (No. 187)
Unique sites:
Nd 0.0000 0.0000 0.0000 (multiplicity 1)
Tm 0.6667 0.3333 0.5000 (multiplicity 1)
Sc 0.3333 0.6667 0.5000 (multiplicity 1)

Peak list (8 most intense, 10° ≤ 2θ ≤ 80°, by angle)
18.58°, d = 4.776 Å, I = 32
32.36°, d = 2.766 Å, I = 100
32.47°, d = 2.757 Å, I = 85
46.50°, d = 1.953 Å, I = 37
57.88°, d = 1.593 Å, I = 54
64.48°, d = 1.445 Å, I = 23
68.00°, d = 1.379 Å, I = 10
77.33°, d = 1.234 Å, I = 16